For NaC3O6, DFT lattice parameters and positions (PBE) gives the computed X-ray diffraction stick pattern in this record (Cu Kα).
Neutral-atom scattering factors, no anomalous dispersion.

The 12 most intense peaks (10° ≤ 2θ ≤ 90°), by intensity:
33.7 deg, rel. 100, (2 1 1)
28.7 deg, rel. 98, (2 2 0)
30.4 deg, rel. 91, (0 2 1)
39.6 deg, rel. 55, (1 3 1)
24.8 deg, rel. 53, (3 0 0)
14.3 deg, rel. 32, (1 1 0)
38.3 deg, rel. 23, (4 1 0)
49.7 deg, rel. 16, (0 5 1)
44.9 deg, rel. 15, (3 2 1)
52.8 deg, rel. 15, (0 1 2)
59.5 deg, rel. 15, (4 4 0)
43.7 deg, rel. 12, (3 3 0)

Cell and atoms:
Unit cell a=12.4224 b=12.4224 c=3.5138 alpha=90.00 beta=90.00 gamma=120.00
Space group R3m (No. 160, hexagonal axes)
Unique sites:
Na 0.0000 0.0000 0.0000 [3 per cell]
C 0.0591 0.5296 0.2066 [9 per cell]
O 0.0821 0.1642 0.4788 [9 per cell]
O 0.1838 0.3676 0.7217 [9 per cell]